Record 1
Starting from a GGA-PBE-relaxed structure, the X-ray diffraction stick pattern of NaTl7Hg4 was simulated for a wavelength of 1.5418 Å.

Largest 8 diffraction maxima, low angle first, 2θ from 5° to 70°:
| d/Å | two_theta | I_rel |
| --- | --- | --- |
| 3.356 | 26.56 | 6 |
| 2.739 | 32.69 | 100 |
| 2.122 | 42.61 | 10 |
| 1.937 | 46.90 | 17 |
| 1.678 | 54.70 | 4 |
| 1.581 | 58.35 | 29 |
| 1.431 | 65.20 | 16 |
| 1.370 | 68.52 | 7 |

Structure:
a b c (Å): 5.478 5.478 13.425
angles (deg): 90.00 90.00 120.00
Fractional positions:
Na: 0.000 0.000 0.000
Tl: 0.000 0.000 0.249
Tl: 0.000 0.000 0.500
Tl: 0.000 0.000 0.751
Tl: 0.333 0.667 0.613
Tl: 0.333 0.667 0.882
Tl: 0.667 0.333 0.118
Tl: 0.667 0.333 0.387
Hg: 0.333 0.667 0.126
Hg: 0.333 0.667 0.364
Hg: 0.667 0.333 0.636
Hg: 0.667 0.333 0.874

=====

Record 2
Starting from a GGA-PBE-relaxed structure, the X-ray diffraction stick pattern of CaPr12Y2 was simulated for a wavelength of 1.5418 Å.

Largest 8 diffraction maxima, low angle first, 2θ from 5° to 70°:
| d/Å | two_theta | I_rel |
| --- | --- | --- |
| 3.113 | 28.67 | 67 |
| 3.008 | 29.70 | 100 |
| 2.953 | 30.26 | 90 |
| 2.817 | 31.76 | 49 |
| 2.786 | 32.12 | 45 |
| 2.506 | 35.83 | 47 |
| 1.634 | 56.29 | 31 |
| 1.547 | 59.78 | 30 |

Structure:
a b c (Å): 6.934 6.934 25.643
angles (deg): 90.00 90.00 116.83
Fractional positions:
Ca: 0.250 0.750 0.999
Ca: 0.750 0.250 0.001
Pr: 0.002 0.502 0.862
Pr: 0.002 0.998 0.081
Pr: 0.020 0.520 0.417
Pr: 0.024 0.976 0.559
Pr: 0.250 0.250 0.203
Pr: 0.250 0.250 0.328
Pr: 0.250 0.250 0.672
Pr: 0.250 0.250 0.797
Pr: 0.476 0.524 0.559
Pr: 0.480 0.980 0.417
Pr: 0.498 0.502 0.081
Pr: 0.498 0.998 0.862
Pr: 0.502 0.002 0.138
Pr: 0.502 0.498 0.919
Pr: 0.520 0.020 0.583
Pr: 0.524 0.476 0.441
Pr: 0.750 0.750 0.203
Pr: 0.750 0.750 0.328
Pr: 0.750 0.750 0.672
Pr: 0.750 0.750 0.797
Pr: 0.976 0.024 0.441
Pr: 0.980 0.480 0.583
Pr: 0.998 0.002 0.919
Pr: 0.998 0.498 0.138
Y: 0.250 0.750 0.271
Y: 0.250 0.750 0.725
Y: 0.750 0.250 0.275
Y: 0.750 0.250 0.729

=====

Record 3
Starting from a GGA-PBE-relaxed structure, the X-ray diffraction stick pattern of TbY14Pu was simulated for a wavelength of 1.5418 Å.

Largest 8 diffraction maxima, low angle first, 2θ from 5° to 70°:
| d/Å | two_theta | I_rel |
| --- | --- | --- |
| 2.909 | 30.73 | 100 |
| 2.524 | 35.57 | 34 |
| 2.510 | 35.77 | 17 |
| 1.785 | 51.18 | 12 |
| 1.780 | 51.34 | 23 |
| 1.521 | 60.90 | 27 |
| 1.515 | 61.17 | 13 |
| 1.455 | 64.01 | 12 |

Structure:
a b c (Å): 7.139 7.139 10.040
angles (deg): 90.00 90.00 90.00
Fractional positions:
Tb: 0.000 0.000 0.000
Y: 0.000 0.000 0.500
Y: 0.000 0.500 0.000
Y: 0.000 0.500 0.500
Y: 0.252 0.252 0.247
Y: 0.252 0.252 0.753
Y: 0.252 0.748 0.247
Y: 0.252 0.748 0.753
Y: 0.500 0.000 0.000
Y: 0.500 0.000 0.500
Y: 0.500 0.500 0.500
Y: 0.748 0.252 0.247
Y: 0.748 0.252 0.753
Y: 0.748 0.748 0.247
Y: 0.748 0.748 0.753
Pu: 0.500 0.500 0.000

=====

Please write out number 3 again, unchanged.
Starting from a GGA-PBE-relaxed structure, the X-ray diffraction stick pattern of TbY14Pu was simulated for a wavelength of 1.5418 Å.

Largest 8 diffraction maxima, low angle first, 2θ from 5° to 70°:
| d/Å | two_theta | I_rel |
| --- | --- | --- |
| 2.909 | 30.73 | 100 |
| 2.524 | 35.57 | 34 |
| 2.510 | 35.77 | 17 |
| 1.785 | 51.18 | 12 |
| 1.780 | 51.34 | 23 |
| 1.521 | 60.90 | 27 |
| 1.515 | 61.17 | 13 |
| 1.455 | 64.01 | 12 |

Structure:
a b c (Å): 7.139 7.139 10.040
angles (deg): 90.00 90.00 90.00
Fractional positions:
Tb: 0.000 0.000 0.000
Y: 0.000 0.000 0.500
Y: 0.000 0.500 0.000
Y: 0.000 0.500 0.500
Y: 0.252 0.252 0.247
Y: 0.252 0.252 0.753
Y: 0.252 0.748 0.247
Y: 0.252 0.748 0.753
Y: 0.500 0.000 0.000
Y: 0.500 0.000 0.500
Y: 0.500 0.500 0.500
Y: 0.748 0.252 0.247
Y: 0.748 0.252 0.753
Y: 0.748 0.748 0.247
Y: 0.748 0.748 0.753
Pu: 0.500 0.500 0.000